For VNi5Rh6, a structure optimized by DFT (PBE) gives the theoretical X-ray diffraction stick pattern in this record (Cu Ka).
Neutral-atom scattering factors, no anomalous dispersion.

Structural model:
Unit cell a=6.9623 b=6.9623 c=6.9623 alpha=148.41 beta=118.09 gamma=71.18
Sites, in units of the cell vectors:
1 V 0.0000 0.0000 0.0000
2 Ni 0.1636 0.6636 0.5000
3 Ni 0.3367 0.3367 0.0000
4 Ni 0.5000 0.0000 0.5000
5 Ni 0.6633 0.6633 0.0000
6 Ni 0.8364 0.3364 0.5000
7 Rh 0.0806 0.8331 0.2475
8 Rh 0.2474 0.5000 0.7474
9 Rh 0.4144 0.1669 0.2475
10 Rh 0.5856 0.8331 0.7525
11 Rh 0.7526 0.5000 0.2526
12 Rh 0.9194 0.1669 0.7525

Largest 9 diffraction maxima, low angle first, 2θ from 5° to 70°:
- 2θ 24.86, rel. 7
- 2θ 33.51, rel. 6
- 2θ 42.17, rel. 100
- 2θ 48.01, rel. 17
- 2θ 48.22, rel. 17
- 2θ 51.00, rel. 14
- 2θ 54.81, rel. 2
- 2θ 55.00, rel. 2
- 2θ 62.41, rel. 2


For V3Ni4Rh, a structure optimized by DFT (PBE) gives the theoretical X-ray diffraction stick pattern in this record (Cu Ka).
Neutral-atom scattering factors, no anomalous dispersion.

Structural model:
Unit cell a=7.1922 b=5.1976 c=5.1932 alpha=90.00 beta=90.00 gamma=90.00
Sites, in units of the cell vectors:
1 V 0.0000 0.0000 0.0000
2 V 0.2500 0.2479 0.2500
3 V 0.2500 0.7521 0.7500
4 V 0.5000 0.0000 0.5000
5 V 0.7500 0.2479 0.2500
6 V 0.7500 0.7521 0.7500
7 Ni 0.0000 0.0000 0.5000
8 Ni 0.0000 0.5000 0.5000
9 Ni 0.2500 0.2411 0.7500
10 Ni 0.2500 0.7589 0.2500
11 Ni 0.5000 0.0000 0.0000
12 Ni 0.5000 0.5000 0.0000
13 Ni 0.7500 0.2411 0.7500
14 Ni 0.7500 0.7589 0.2500
15 Rh 0.0000 0.5000 0.0000
16 Rh 0.5000 0.5000 0.5000

Largest 12 diffraction maxima, low angle first, 2θ from 5° to 70°:
- 2θ 17.06, rel. 2
- 2θ 21.10, rel. 1
- 2θ 24.76, rel. 1
- 2θ 27.26, rel. 4
- 2θ 30.22, rel. 2
- 2θ 34.53, rel. 1
- 2θ 38.77, rel. 1
- 2θ 42.95, rel. 100
- 2θ 45.16, rel. 1
- 2θ 49.63, rel. 32
- 2θ 50.78, rel. 15
- 2θ 57.54, rel. 1


For V4NiRh3, a structure optimized by DFT (PBE) gives the theoretical X-ray diffraction stick pattern in this record (Cu Ka).
Neutral-atom scattering factors, no anomalous dispersion.

Structural model:
Unit cell a=6.6557 b=6.6557 c=4.3541 alpha=108.90 beta=108.90 gamma=36.91
Sites, in units of the cell vectors:
1 V 0.1239 0.1239 0.1235
2 V 0.2483 0.2483 0.7494
3 V 0.7517 0.7517 0.2506
4 V 0.8761 0.8761 0.8765
5 Ni 0.0000 0.0000 0.5000
6 Rh 0.3608 0.3608 0.3627
7 Rh 0.5000 0.5000 0.0000
8 Rh 0.6392 0.6392 0.6373

Largest 12 diffraction maxima, low angle first, 2θ from 5° to 70°:
- 2θ 22.39, rel. 18
- 2θ 30.48, rel. 10
- 2θ 30.59, rel. 10
- 2θ 33.22, rel. 14
- 2θ 41.48, rel. 57
- 2θ 42.61, rel. 100
- 2θ 42.72, rel. 99
- 2θ 42.92, rel. 51
- 2θ 47.63, rel. 5
- 2θ 53.59, rel. 8
- 2θ 61.22, rel. 34
- 2θ 62.62, rel. 13


For VNi2Rh5, a structure optimized by DFT (PBE) gives the theoretical X-ray diffraction stick pattern in this record (Cu Ka).
Neutral-atom scattering factors, no anomalous dispersion.

Structural model:
Unit cell a=6.2931 b=5.3578 c=5.0574 alpha=74.28 beta=55.04 gamma=50.68
Sites, in units of the cell vectors:
1 V 0.0000 0.0000 0.0000
2 Ni 0.4096 0.9109 0.0891
3 Ni 0.9109 0.4096 0.5904
4 Rh 0.4124 0.4124 0.0876
5 Rh 0.4851 0.9868 0.5149
6 Rh 0.4935 0.4935 0.5065
7 Rh 0.9124 0.9124 0.5876
8 Rh 0.9868 0.4851 0.0132

Largest 12 diffraction maxima, low angle first, 2θ from 5° to 70°:
- 2θ 21.67, rel. 5
- 2θ 28.46, rel. 8
- 2θ 33.06, rel. 3
- 2θ 35.11, rel. 2
- 2θ 38.52, rel. 22
- 2θ 38.97, rel. 14
- 2θ 42.33, rel. 37
- 2θ 44.17, rel. 100
- 2θ 44.58, rel. 43
- 2θ 58.55, rel. 12
- 2θ 58.88, rel. 8
- 2θ 69.38, rel. 8


For VNi8Rh2, a structure optimized by DFT (PBE) gives the theoretical X-ray diffraction stick pattern in this record (Cu Ka).
Neutral-atom scattering factors, no anomalous dispersion.

Structural model:
Unit cell a=7.0222 b=7.0222 c=4.5079 alpha=107.51 beta=107.51 gamma=38.86
Sites, in units of the cell vectors:
1 V 0.0000 0.0000 0.0000
2 Ni 0.1594 0.6595 0.5228
3 Ni 0.2641 0.2641 0.6252
4 Ni 0.3405 0.8406 0.4772
5 Ni 0.4220 0.4220 0.0663
6 Ni 0.5780 0.5780 0.9337
7 Ni 0.6595 0.1594 0.5228
8 Ni 0.7359 0.7359 0.3748
9 Ni 0.8406 0.3405 0.4772
10 Rh 0.1890 0.1890 0.0567
11 Rh 0.8110 0.8110 0.9433

Largest 12 diffraction maxima, low angle first, 2θ from 5° to 70°:
- 2θ 39.64, rel. 38
- 2θ 40.31, rel. 40
- 2θ 40.79, rel. 49
- 2θ 41.23, rel. 31
- 2θ 41.57, rel. 47
- 2θ 42.31, rel. 60
- 2θ 42.95, rel. 28
- 2θ 44.19, rel. 100
- 2θ 45.10, rel. 37
- 2θ 49.24, rel. 49
- 2θ 50.37, rel. 39
- 2θ 51.60, rel. 43


For V3NiRh6, a structure optimized by DFT (PBE) gives the theoretical X-ray diffraction stick pattern in this record (Cu Ka).
Neutral-atom scattering factors, no anomalous dispersion.

Structural model:
Unit cell a=7.1973 b=4.2871 c=9.3864 alpha=90.00 beta=110.08 gamma=90.00
Sites, in units of the cell vectors:
1 V 0.0876 0.2500 0.2361
2 V 0.2949 0.2500 0.0260
3 V 0.3178 0.7500 0.3736
4 V 0.6822 0.2500 0.6264
5 V 0.7051 0.7500 0.9740
6 V 0.9124 0.7500 0.7639
7 Ni 0.0971 0.7500 0.5657
8 Ni 0.9029 0.2500 0.4343
9 Rh 0.0836 0.2500 0.7224
10 Rh 0.1072 0.7500 0.0731
11 Rh 0.2867 0.2500 0.5266
12 Rh 0.2936 0.7500 0.8632
13 Rh 0.4943 0.2500 0.3286
14 Rh 0.4990 0.2500 0.8362
15 Rh 0.5010 0.7500 0.1638
16 Rh 0.5057 0.7500 0.6714
17 Rh 0.7064 0.2500 0.1368
18 Rh 0.7133 0.7500 0.4734
19 Rh 0.8928 0.2500 0.9269
20 Rh 0.9164 0.7500 0.2776

Largest 12 diffraction maxima, low angle first, 2θ from 5° to 70°:
- 2θ 28.32, rel. 21
- 2θ 38.10, rel. 17
- 2θ 38.37, rel. 19
- 2θ 38.74, rel. 32
- 2θ 42.16, rel. 69
- 2θ 43.76, rel. 100
- 2θ 44.00, rel. 95
- 2θ 44.33, rel. 74
- 2θ 58.31, rel. 11
- 2θ 58.58, rel. 18
- 2θ 68.78, rel. 17
- 2θ 69.53, rel. 14


For Ni3Rh3W2, a structure optimized by DFT (PBE) gives the theoretical X-ray diffraction stick pattern in this record (Cu Ka).
Neutral-atom scattering factors, no anomalous dispersion.

Structural model:
Unit cell a=4.7847 b=4.7847 c=4.7847 alpha=93.15 beta=93.15 gamma=93.15
Sites, in units of the cell vectors:
1 Ni 0.0000 0.2710 0.7290
2 Ni 0.2710 0.7290 0.0000
3 Ni 0.7290 0.0000 0.2710
4 Rh 0.2244 0.7756 0.5000
5 Rh 0.5000 0.2244 0.7756
6 Rh 0.7756 0.5000 0.2244
7 W 0.2451 0.2451 0.2451
8 W 0.7549 0.7549 0.7549

Largest 12 diffraction maxima, low angle first, 2θ from 5° to 70°:
- 2θ 25.63, rel. 30
- 2θ 27.20, rel. 49
- 2θ 37.72, rel. 96
- 2θ 41.33, rel. 42
- 2θ 43.40, rel. 73
- 2θ 45.19, rel. 100
- 2θ 46.17, rel. 94
- 2θ 49.00, rel. 39
- 2θ 60.28, rel. 6
- 2θ 62.66, rel. 11
- 2θ 64.45, rel. 6
- 2θ 69.07, rel. 13


For Ni4RhW, a structure optimized by DFT (PBE) gives the theoretical X-ray diffraction stick pattern in this record (Cu Ka).
Neutral-atom scattering factors, no anomalous dispersion.

Structural model:
Unit cell a=4.4842 b=5.2303 c=6.4590 alpha=90.00 beta=103.05 gamma=90.00
Sites, in units of the cell vectors:
1 Ni 0.0000 0.0000 0.0000
2 Ni 0.0000 0.5000 0.0000
3 Ni 0.2253 0.0029 0.6767
4 Ni 0.2253 0.4971 0.6767
5 Ni 0.4889 0.7500 0.0052
6 Ni 0.5111 0.2500 0.9948
7 Ni 0.7747 0.5029 0.3233
8 Ni 0.7747 0.9971 0.3233
9 Rh 0.2698 0.2500 0.3370
10 Rh 0.7302 0.7500 0.6630
11 W 0.2747 0.7500 0.3380
12 W 0.7253 0.2500 0.6620

Largest 12 diffraction maxima, low angle first, 2θ from 5° to 70°:
- 2θ 14.08, rel. 20
- 2θ 21.99, rel. 23
- 2θ 40.19, rel. 19
- 2θ 40.55, rel. 12
- 2θ 41.11, rel. 32
- 2θ 41.34, rel. 17
- 2θ 43.13, rel. 62
- 2θ 44.41, rel. 80
- 2θ 44.86, rel. 35
- 2θ 46.96, rel. 100
- 2θ 52.79, rel. 15
- 2θ 56.47, rel. 11


What did the second record say?
For V3Ni4Rh, a structure optimized by DFT (PBE) gives the theoretical X-ray diffraction stick pattern in this record (Cu Ka).
Neutral-atom scattering factors, no anomalous dispersion.

Structural model:
Unit cell a=7.1922 b=5.1976 c=5.1932 alpha=90.00 beta=90.00 gamma=90.00
Sites, in units of the cell vectors:
1 V 0.0000 0.0000 0.0000
2 V 0.2500 0.2479 0.2500
3 V 0.2500 0.7521 0.7500
4 V 0.5000 0.0000 0.5000
5 V 0.7500 0.2479 0.2500
6 V 0.7500 0.7521 0.7500
7 Ni 0.0000 0.0000 0.5000
8 Ni 0.0000 0.5000 0.5000
9 Ni 0.2500 0.2411 0.7500
10 Ni 0.2500 0.7589 0.2500
11 Ni 0.5000 0.0000 0.0000
12 Ni 0.5000 0.5000 0.0000
13 Ni 0.7500 0.2411 0.7500
14 Ni 0.7500 0.7589 0.2500
15 Rh 0.0000 0.5000 0.0000
16 Rh 0.5000 0.5000 0.5000

Largest 12 diffraction maxima, low angle first, 2θ from 5° to 70°:
- 2θ 17.06, rel. 2
- 2θ 21.10, rel. 1
- 2θ 24.76, rel. 1
- 2θ 27.26, rel. 4
- 2θ 30.22, rel. 2
- 2θ 34.53, rel. 1
- 2θ 38.77, rel. 1
- 2θ 42.95, rel. 100
- 2θ 45.16, rel. 1
- 2θ 49.63, rel. 32
- 2θ 50.78, rel. 15
- 2θ 57.54, rel. 1


Copy entry 4 word for word.
For VNi2Rh5, a structure optimized by DFT (PBE) gives the theoretical X-ray diffraction stick pattern in this record (Cu Ka).
Neutral-atom scattering factors, no anomalous dispersion.

Structural model:
Unit cell a=6.2931 b=5.3578 c=5.0574 alpha=74.28 beta=55.04 gamma=50.68
Sites, in units of the cell vectors:
1 V 0.0000 0.0000 0.0000
2 Ni 0.4096 0.9109 0.0891
3 Ni 0.9109 0.4096 0.5904
4 Rh 0.4124 0.4124 0.0876
5 Rh 0.4851 0.9868 0.5149
6 Rh 0.4935 0.4935 0.5065
7 Rh 0.9124 0.9124 0.5876
8 Rh 0.9868 0.4851 0.0132

Largest 12 diffraction maxima, low angle first, 2θ from 5° to 70°:
- 2θ 21.67, rel. 5
- 2θ 28.46, rel. 8
- 2θ 33.06, rel. 3
- 2θ 35.11, rel. 2
- 2θ 38.52, rel. 22
- 2θ 38.97, rel. 14
- 2θ 42.33, rel. 37
- 2θ 44.17, rel. 100
- 2θ 44.58, rel. 43
- 2θ 58.55, rel. 12
- 2θ 58.88, rel. 8
- 2θ 69.38, rel. 8